Entry 1:
Starting from a PBE-relaxed structure, the PXRD pattern of Pu4ZnPd4 was computed for Cu Kα, 1.54184 Å.
Neutral-atom scattering factors, no anomalous dispersion.

Top 10 peaks for 2θ = 10–90°, in order of rising 2θ:
- (1 1 0), d 5.705, 2θ 15.53, rel. 8
- (1 0 1), d 4.171, 2θ 21.30, rel. 34
- (0 0 2), d 2.436, 2θ 36.89, rel. 30
- (3 0 1), d 2.354, 2θ 38.23, rel. 100
- (3 3 0), d 1.902, 2θ 47.83, rel. 24
- (4 3 1), d 1.532, 2θ 60.44, rel. 11
- (3 3 2), d 1.499, 2θ 61.90, rel. 23
- (3 0 3), d 1.390, 2θ 67.35, rel. 19
- (6 0 2), d 1.177, 2θ 81.82, rel. 8
- (6 3 1), d 1.168, 2θ 82.64, rel. 15

Cell and atoms:
```
data_Pu4ZnPd4
_space_group_name_H-M_alt 'I 4/m m m'
_space_group_IT_number 139
_space_group_name_Hall '-I 4 2'
_cell_length_a 8.0679
_cell_length_b 8.0679
_cell_length_c 4.8726
_cell_angle_alpha 90.00
_cell_angle_beta 90.00
_cell_angle_gamma 90.00
loop_
_atom_site_label
_atom_site_type_symbol
_atom_site_fract_x
_atom_site_fract_y
_atom_site_fract_z
Pu1 Pu 0.1467 0.1467 0.0000
Zn1 Zn 0.0000 0.0000 0.5000
Pd1 Pd 0.0000 0.3349 0.5000
```



Entry 2:
Starting from a PBE-relaxed structure, the PXRD pattern of Pu3ZnPd3 was computed for Cu Kα, 1.54184 Å.
Neutral-atom scattering factors, no anomalous dispersion.

Top 10 peaks for 2θ = 10–90°, in order of rising 2θ:
- (1 0 -2), d 4.065, 2θ 21.86, rel. 23
- (2 1 -1), d 3.149, 2θ 28.34, rel. 33
- (2 0 1), d 2.660, 2θ 33.69, rel. 37
- (0 2 0), d 2.493, 2θ 36.03, rel. 44
- (1 1 -3), d 2.347, 2θ 38.34, rel. 100
- (3 1 -2), d 2.343, 2θ 38.42, rel. 49
- (3 2 -2), d 1.818, 2θ 50.17, rel. 35
- (4 0 -5), d 1.534, 2θ 60.34, rel. 17
- (1 3 -3), d 1.409, 2θ 66.33, rel. 30
- (4 2 -5), d 1.306, 2θ 72.33, rel. 18

Cell and atoms:
```
data_Pu3ZnPd3
_space_group_name_H-M_alt 'P 1 21/m 1'
_space_group_IT_number 11
_space_group_name_Hall '-P 2yb'
_cell_length_a 8.1105
_cell_length_b 4.9852
_cell_length_c 8.1248
_cell_angle_alpha 90.00
_cell_angle_beta 119.88
_cell_angle_gamma 90.00
loop_
_atom_site_label
_atom_site_type_symbol
_atom_site_fract_x
_atom_site_fract_y
_atom_site_fract_z
Pu1 Pu 0.0576 0.2500 0.1447
Pu2 Pu 0.1445 0.7500 0.5882
Pu3 Pu 0.4121 0.7500 0.0573
Zn1 Zn 0.1662 0.2500 0.8326
Pd1 Pd 0.2731 0.7500 0.3224
Pd2 Pd 0.3220 0.2500 0.5489
Pd3 Pd 0.4520 0.2500 0.2744
```



Entry 3:
Starting from a PBE-relaxed structure, the PXRD pattern of PuZn9Pd2 was computed for Cu Kα, 1.54184 Å.
Neutral-atom scattering factors, no anomalous dispersion.

Top 10 peaks for 2θ = 10–90°, in order of rising 2θ:
- (2 1 1), d 3.912, 2θ 22.73, rel. 30
- (1 1 2), d 3.157, 2θ 28.27, rel. 21
- (3 2 1), d 2.703, 2θ 33.14, rel. 55
- (4 0 0), d 2.643, 2θ 33.91, rel. 19
- (3 1 2), d 2.412, 2θ 37.28, rel. 100
- (4 2 0), d 2.364, 2θ 38.06, rel. 64
- (1 0 3), d 2.268, 2θ 39.75, rel. 36
- (5 0 1), d 2.024, 2θ 44.79, rel. 28
- (4 2 2), d 1.956, 2θ 46.42, rel. 30
- (5 5 2), d 1.374, 2θ 68.26, rel. 29

Cell and atoms:
```
data_PuZn9Pd2
_space_group_name_H-M_alt 'I 41/a m d'
_space_group_IT_number 141
_cell_length_a 10.5736
_cell_length_b 10.5736
_cell_length_c 6.9655
_cell_angle_alpha 90.00
_cell_angle_beta 90.00
_cell_angle_gamma 90.00
loop_
_space_group_symop_operation_xyz
'x,y,z'
'-x,-y,-z'
'-y+1/4,x+3/4,z+1/4'
'y+1/4,-x+3/4,-z+1/4'
'-x+1/2,-y,z+1/2'
'x+1/2,y,-z+1/2'
'y+1/4,-x+1/4,z+3/4'
'-y+1/4,x+1/4,-z+3/4'
'x,-y,-z'
'-x,y,z'
'-y+1/4,-x+1/4,-z+3/4'
'y+1/4,x+1/4,z+3/4'
'-x+1/2,y,-z+1/2'
'x+1/2,-y,z+1/2'
'y+1/4,x+3/4,-z+1/4'
'-y+1/4,-x+3/4,z+1/4'
'x+1/2,y+1/2,z+1/2'
'-x+1/2,-y+1/2,-z+1/2'
'-y+3/4,x+1/4,z+3/4'
'y+3/4,-x+1/4,-z+3/4'
'-x,-y+1/2,z'
'x,y+1/2,-z'
'y+3/4,-x+3/4,z+1/4'
'-y+3/4,x+3/4,-z+1/4'
'x+1/2,-y+1/2,-z+1/2'
'-x+1/2,y+1/2,z+1/2'
'-y+3/4,-x+3/4,-z+1/4'
'y+3/4,x+3/4,z+1/4'
'-x,y+1/2,-z'
'x,-y+1/2,z'
'y+3/4,x+1/4,-z+3/4'
'-y+3/4,-x+1/4,z+3/4'
loop_
_atom_site_label
_atom_site_type_symbol
_atom_site_fract_x
_atom_site_fract_y
_atom_site_fract_z
Pu1 Pu 0.0000 0.2500 0.3750
Zn1 Zn 0.0000 0.2500 0.8750
Zn2 Zn 0.1209 0.0431 0.6772
Pd1 Pd 0.0000 0.0000 0.0000
```